[1]
Theoretical powder X-ray diffraction pattern of MgH4C4S4O12F12 for CuKα, from a cell relaxed with PBE.
No peak broadening, texture or thermal motion is included.

Main lines, by angle (15° ≤ 2θ ≤ 90°):
d/Å  Position (°2θ)  I/Imax  h k l
5.126  17.30  71.1  0 1 -2
4.913  18.06  100.0  -1 1 1
4.738  18.73  44.9  0 1 2
4.520  19.64  42.9  1 -1 1
4.271  20.80  98.2  0 2 0
3.910  22.74  30.2  1 1 -1
2.807  31.88  40.0  1 0 -4
2.424  37.09  31.6  1 0 4

Structure:
```
data_MgH4C4S4O12F12
_chemical_formula_sum 'Mg1 H4 C4 S4 O12 F12'
_cell_length_a 5.416
_cell_length_b 8.956
_cell_length_c 12.226
_cell_angle_alpha 92.11
_cell_angle_beta 98.54
_cell_angle_gamma 106.82
_space_group_name_H-M_alt 'P 1'
_space_group_IT_number 1
loop_
_space_group_symop_operation_xyz
'x,y,z'
loop_
_atom_site_label
_atom_site_fract_x
_atom_site_fract_y
_atom_site_fract_z
Mg1 0.000 0.000 0.000
H1 0.388 0.838 0.348
H2 0.454 0.801 0.923
H3 0.866 0.321 0.331
H4 0.905 0.295 0.804
C1 0.050 0.082 0.630
C2 0.154 0.994 0.169
C3 0.501 0.529 0.027
C4 0.826 0.546 0.523
S1 0.320 0.538 0.885
S2 0.413 0.068 0.292
S3 0.863 0.051 0.749
S4 0.959 0.566 0.389
O1 0.021 0.408 0.374
O2 0.062 0.058 0.848
O3 0.066 0.422 0.883
O4 0.206 0.688 0.413
O5 0.277 0.698 0.894
O6 0.302 0.105 0.386
O7 0.482 0.519 0.807
O8 0.506 0.918 0.308
O9 0.629 0.185 0.258
O10 0.646 0.913 0.722
O11 0.753 0.579 0.305
O12 0.771 0.197 0.755
F1 0.013 0.537 0.607
F2 0.054 0.138 0.147
F3 0.151 0.963 0.619
F4 0.240 0.219 0.649
F5 0.383 0.574 0.105
F6 0.507 0.380 0.039
F7 0.622 0.415 0.513
F8 0.634 0.919 0.967
F9 0.747 0.671 0.545
F10 0.750 0.624 0.037
F11 0.879 0.083 0.539
F12 0.957 0.895 0.214
```

=====

[2]
Theoretical powder X-ray diffraction pattern of MgH4C4S4O12F12 for CuKα, from a cell relaxed with PBE.
No peak broadening, texture or thermal motion is included.

Main lines, by angle (15° ≤ 2θ ≤ 90°):
d/Å  Position (°2θ)  I/Imax  h k l
5.142  17.24  42.9  1 0 1
5.022  17.66  54.0  1 0 -1
4.796  18.50  71.0  1 1 1
4.729  18.76  85.6  0 1 2
4.670  19.00  93.7  1 1 -1
4.140  21.46  100.0  0 2 0
2.855  31.34  34.1  0 0 4
2.520  35.63  36.4  1 0 -4

Structure:
```
data_MgH4C4S4O12F12
_chemical_formula_sum 'Mg1 H4 C4 S4 O12 F12'
_cell_length_a 5.798
_cell_length_b 8.459
_cell_length_c 11.425
_cell_angle_alpha 88.88
_cell_angle_beta 88.11
_cell_angle_gamma 78.25
_space_group_name_H-M_alt 'P 1'
_space_group_IT_number 1
loop_
_space_group_symop_operation_xyz
'x,y,z'
loop_
_atom_site_label
_atom_site_fract_x
_atom_site_fract_y
_atom_site_fract_z
Mg1 0.000 0.000 0.000
H1 0.042 0.639 0.448
H2 0.521 0.116 0.919
H3 0.539 0.140 0.461
H4 0.975 0.700 0.030
C1 0.126 0.865 0.641
C2 0.460 0.886 0.143
C3 0.641 0.359 0.262
C4 0.946 0.382 0.766
S1 0.123 0.341 0.903
S2 0.476 0.391 0.408
S3 0.557 0.856 0.980
S4 0.972 0.890 0.497
O1 0.122 0.496 0.953
O2 0.141 0.921 0.410
O3 0.260 0.505 0.385
O4 0.312 0.903 0.928
O5 0.352 0.252 0.859
O6 0.406 0.224 0.428
O7 0.640 0.422 0.491
O8 0.649 0.030 0.958
O9 0.753 0.003 0.520
O10 0.901 0.807 0.058
O11 0.907 0.721 0.484
O12 0.992 0.238 0.976
F1 0.087 0.411 0.675
F2 0.228 0.992 0.656
F3 0.244 0.997 0.147
F4 0.292 0.728 0.640
F5 0.421 0.745 0.186
F6 0.491 0.356 0.175
F7 0.599 0.946 0.214
F8 0.759 0.479 0.243
F9 0.770 0.513 0.781
F10 0.798 0.217 0.266
F11 0.851 0.254 0.741
F12 0.969 0.857 0.730
```